# 1
Computed powder XRD pattern
Compound: MgHg2
Radiation: copper Kα
Structure: a PBE-relaxed structure

Structure:
```
data_MgHg2
_cell_length_a 3.5042
_cell_length_b 15.6942
_cell_length_c 5.0463
_cell_angle_alpha 90.00
_cell_angle_beta 90.00
_cell_angle_gamma 90.00
_symmetry_space_group_name_H-M 'C m c m'
_symmetry_Int_Tables_number 63
_symmetry_space_group_name_Hall '-C 2c 2'
loop_
_atom_site_label
_atom_site_type_symbol
_atom_site_fract_x
_atom_site_fract_y
_atom_site_fract_z
_atom_site_occupancy
Mg1 Mg 0.0000 0.1085 0.2500 1
Hg1 Hg 0.0000 0.2278 0.7500 1
Hg2 Hg 0.0000 0.4429 0.2500 1
```

Principal peaks in the range 15° ≤ 2θ ≤ 90°, low angle first:
hkl	2θ/deg	I_rel
0 2 1	20.9	25
0 4 0	22.7	12
1 1 0	26.1	11
1 3 0	30.7	14
0 0 2	35.6	100
0 6 1	38.8	24
1 3 3	63.9	17
1 9 2	71.0	12

---

# 2
Computed powder XRD pattern
Compound: MgHg2
Radiation: copper Kα
Structure: a PBE-relaxed structure

Structure:
```
data_MgHg2
_cell_length_a 3.9141
_cell_length_b 3.9141
_cell_length_c 8.9640
_cell_angle_alpha 90.00
_cell_angle_beta 90.00
_cell_angle_gamma 90.00
_symmetry_space_group_name_H-M 'I 4/m m m'
_symmetry_Int_Tables_number 139
_symmetry_space_group_name_Hall '-I 4 2'
loop_
_atom_site_label
_atom_site_type_symbol
_atom_site_fract_x
_atom_site_fract_y
_atom_site_fract_z
_atom_site_occupancy
Mg1 Mg 0.0000 0.0000 0.0000 1
Hg1 Hg 0.0000 0.0000 0.3335 1
```

Principal peaks in the range 15° ≤ 2θ ≤ 90°, low angle first:
hkl	2θ/deg	I_rel
0 0 2	19.8	20
1 0 1	24.8	49
1 1 0	32.3	76
1 0 3	37.9	100
1 1 2	38.2	16
2 0 0	46.4	28
2 1 3	61.4	50
1 1 6	71.8	16

---

# 3
Computed powder XRD pattern
Compound: MgHg2
Radiation: copper Kα
Structure: a PBE-relaxed structure

Structure:
```
data_MgHg2
_cell_length_a 11.7968
_cell_length_b 3.5129
_cell_length_c 7.1063
_cell_angle_alpha 90.00
_cell_angle_beta 109.18
_cell_angle_gamma 90.00
_symmetry_space_group_name_H-M 'C 1 2/m 1'
_symmetry_Int_Tables_number 12
_symmetry_space_group_name_Hall '-C 2y'
loop_
_atom_site_label
_atom_site_type_symbol
_atom_site_fract_x
_atom_site_fract_y
_atom_site_fract_z
_atom_site_occupancy
Mg1 Mg 0.0291 0.0000 0.2804 1
Hg1 Hg 0.1430 0.5000 0.0475 1
Hg2 Hg 0.1666 0.5000 0.6187 1
```

Principal peaks in the range 15° ≤ 2θ ≤ 90°, low angle first:
hkl	2θ/deg	I_rel
2 0 0	15.9	29
2 0 -2	26.1	29
1 1 0	26.6	65
4 0 0	32.1	27
4 0 -2	34.4	53
3 1 0	35.2	100
2 0 2	35.5	36
1 1 -2	36.0	92

---

# 4
Computed powder XRD pattern
Compound: MgHg2
Radiation: copper Kα
Structure: a PBE-relaxed structure

Structure:
```
data_MgHg2
_cell_length_a 13.3782
_cell_length_b 3.2889
_cell_length_c 6.8597
_cell_angle_alpha 90.00
_cell_angle_beta 111.65
_cell_angle_gamma 90.00
_symmetry_space_group_name_H-M 'C 1 2/m 1'
_symmetry_Int_Tables_number 12
_symmetry_space_group_name_Hall '-C 2y'
loop_
_atom_site_label
_atom_site_type_symbol
_atom_site_fract_x
_atom_site_fract_y
_atom_site_fract_z
_atom_site_occupancy
Mg1 Mg 0.1391 0.0000 0.0346 1
Hg1 Hg 0.0279 0.5000 0.2899 1
Hg2 Hg 0.1976 0.0000 0.6552 1
```

Principal peaks in the range 15° ≤ 2θ ≤ 90°, low angle first:
hkl	2θ/deg	I_rel
0 0 2	28.0	52
4 0 -2	31.9	84
1 1 1	32.6	42
3 1 0	34.8	100
4 0 1	36.5	47
1 1 -2	38.0	80
5 1 -1	43.6	29
3 1 3	62.7	35

---

# 5
Computed powder XRD pattern
Compound: MgHgO3
Radiation: copper Kα
Structure: a PBE-relaxed structure

Structure:
```
data_MgHgO3
_cell_length_a 3.9735
_cell_length_b 3.9735
_cell_length_c 3.9735
_cell_angle_alpha 90.00
_cell_angle_beta 90.00
_cell_angle_gamma 90.00
_symmetry_space_group_name_H-M 'P m -3 m'
_symmetry_Int_Tables_number 221
_symmetry_space_group_name_Hall '-P 4 2 3'
loop_
_atom_site_label
_atom_site_type_symbol
_atom_site_fract_x
_atom_site_fract_y
_atom_site_fract_z
_atom_site_occupancy
Mg1 Mg 0.0000 0.0000 0.0000 1
Hg1 Hg 0.5000 0.5000 0.5000 1
O1 O 0.0000 0.0000 0.5000 1
```

Principal peaks in the range 15° ≤ 2θ ≤ 90°, low angle first:
hkl	2θ/deg	I_rel
1 0 0	22.4	65
1 1 0	31.9	100
1 1 1	39.3	43
2 0 0	45.7	32
2 1 0	51.4	32
2 1 1	56.8	41
2 2 0	66.6	19
3 1 0	75.7	18

---

# 6
Computed powder XRD pattern
Compound: MgHgSb2O6
Radiation: copper Kα
Structure: a PBE-relaxed structure

Structure:
```
data_MgHgSb2O6
_cell_length_a 5.4523
_cell_length_b 5.4523
_cell_length_c 7.1624
_cell_angle_alpha 90.00
_cell_angle_beta 90.00
_cell_angle_gamma 120.00
_symmetry_space_group_name_H-M 'P -3 1 m'
_symmetry_Int_Tables_number 162
_symmetry_space_group_name_Hall '-P 3 2'
loop_
_atom_site_label
_atom_site_type_symbol
_atom_site_fract_x
_atom_site_fract_y
_atom_site_fract_z
_atom_site_occupancy
Mg1 Mg 0.0000 0.0000 0.0000 1
Hg1 Hg 0.0000 0.0000 0.5000 1
Sb1 Sb 0.3333 0.6667 0.0000 1
O1 O 0.0000 0.3475 0.8597 1
```

Principal peaks in the range 15° ≤ 2θ ≤ 90°, low angle first:
hkl	2θ/deg	I_rel
1 0 1	22.6	100
0 0 2	24.9	30
1 1 0	32.9	38
2 0 1	40.2	21
1 1 2	41.6	54
1 0 3	42.4	19
2 1 1	52.9	20
2 -1 4	62.0	18